Calculated powder X-ray diffraction pattern of Er2Hf3Si4 for Cu Kα, from a cell relaxed with PBE.
Lines closer than 0.1° are merged.

Top 8 peaks for 2θ = 10–90°, in order of falling intensity:
2θ/deg, d [Å], I/Imax
35.7, 2.517, 100.0
35.4, 2.534, 90.3
36.0, 2.492, 79.3
40.4, 2.230, 74.4
28.0, 3.183, 68.5
28.6, 3.125, 58.2
39.7, 2.270, 54.0
30.9, 2.897, 47.5

Structural model:
a b c (Å): 7.2451 7.2421 7.0356
angles (deg): 90.00 108.52 90.00
Element x y z (fractional)
Er (0.1905, 0.1711, 0.0709)
Er (0.1905, 0.3289, 0.5709)
Er (0.8095, 0.6711, 0.4291)
Er (0.8095, 0.8289, 0.9291)
Hf (0.2518, 0.6802, 0.2487)
Hf (0.2518, 0.8198, 0.7487)
Hf (0.5000, 0.0000, 0.5000)
Hf (0.5000, 0.5000, 0.0000)
Hf (0.7482, 0.1802, 0.2513)
Hf (0.7482, 0.3198, 0.7513)
Si (0.0818, 0.5318, 0.8677)
Si (0.0818, 0.9682, 0.3677)
Si (0.4899, 0.1244, 0.8700)
Si (0.4899, 0.3756, 0.3700)
Si (0.5101, 0.6244, 0.6300)
Si (0.5101, 0.8756, 0.1300)
Si (0.9182, 0.0318, 0.6323)
Si (0.9182, 0.4682, 0.1323)


Calculated powder X-ray diffraction pattern of Pu9Bi11Rh4 for Cu Kα, from a cell relaxed with PBE.
Lines closer than 0.1° are merged.

Top 8 peaks for 2θ = 10–90°, in order of falling intensity:
2θ/deg, d [Å], I/Imax
34.9, 2.573, 100.0
32.6, 2.746, 60.8
59.7, 1.550, 19.8
63.9, 1.456, 18.4
46.8, 1.942, 17.9
31.5, 2.841, 12.8
53.3, 1.718, 11.6
32.9, 2.726, 10.1

Structural model:
a b c (Å): 14.0044 3.4360 14.0076
angles (deg): 90.00 112.70 90.00
Element x y z (fractional)
Pu (0.0000, 0.0000, 0.0000)
Pu (0.1329, 0.0000, 0.6441)
Pu (0.2818, 0.0000, 0.4346)
Pu (0.3566, 0.0000, 0.8676)
Pu (0.4341, 0.0000, 0.2819)
Pu (0.5659, 0.0000, 0.7181)
Pu (0.6434, 0.0000, 0.1324)
Pu (0.7182, 0.0000, 0.5654)
Pu (0.8671, 0.0000, 0.3559)
Bi (0.0762, 0.5000, 0.4052)
Bi (0.1351, 0.5000, 0.8651)
Bi (0.1975, 0.5000, 0.1979)
Bi (0.3411, 0.5000, 0.6592)
Bi (0.4050, 0.5000, 0.0766)
Bi (0.5000, 0.5000, 0.5000)
Bi (0.5950, 0.5000, 0.9234)
Bi (0.6589, 0.5000, 0.3408)
Bi (0.8025, 0.5000, 0.8021)
Bi (0.8649, 0.5000, 0.1349)
Bi (0.9238, 0.5000, 0.5948)
Rh (0.0459, 0.0000, 0.2335)
Rh (0.2332, 0.0000, 0.0461)
Rh (0.7668, 0.0000, 0.9539)
Rh (0.9541, 0.0000, 0.7665)


Calculated powder X-ray diffraction pattern of Li2PrZnPd for Cu Kα, from a cell relaxed with PBE.
Lines closer than 0.1° are merged.

Top 8 peaks for 2θ = 10–90°, in order of falling intensity:
2θ/deg, d [Å], I/Imax
34.4, 2.606, 100.0
14.7, 6.046, 68.9
43.5, 2.082, 46.1
31.1, 2.875, 39.0
31.2, 2.864, 29.5
23.1, 3.857, 29.0
31.0, 2.889, 28.1
44.2, 2.051, 18.2

Structural model:
a b c (Å): 4.0690 4.1011 12.0927
angles (deg): 90.00 90.00 90.00
Element x y z (fractional)
Li (0.0000, 0.0000, 0.0000)
Li (0.0000, 0.5000, 0.1445)
Li (0.5000, 0.0000, 0.6445)
Li (0.5000, 0.5000, 0.5000)
Pr (0.0000, 0.5000, 0.7724)
Pr (0.5000, 0.0000, 0.2724)
Zn (0.0000, 0.0000, 0.5021)
Zn (0.5000, 0.5000, 0.0021)
Pd (0.0000, 0.5000, 0.3605)
Pd (0.5000, 0.0000, 0.8605)


Calculated powder X-ray diffraction pattern of BaLi4Hg4 for Cu Kα, from a cell relaxed with PBE.
Lines closer than 0.1° are merged.

Top 8 peaks for 2θ = 10–90°, in order of falling intensity:
2θ/deg, d [Å], I/Imax
28.0, 3.190, 100.0
30.6, 2.925, 31.6
19.2, 4.624, 25.8
52.8, 1.735, 24.0
44.2, 2.047, 18.9
47.8, 1.903, 18.7
35.8, 2.506, 18.5
39.5, 2.283, 16.8

Structural model:
a b c (Å): 7.0034 7.0034 7.0034
angles (deg): 97.36 97.36 138.07
Element x y z (fractional)
Ba (0.0000, 0.0000, 0.0000)
Li (0.0956, 0.6124, 0.7080)
Li (0.3876, 0.0956, 0.4833)
Li (0.6124, 0.9044, 0.5167)
Li (0.9044, 0.3876, 0.2920)
Hg (0.2251, 0.3487, 0.5738)
Hg (0.3487, 0.7749, 0.1236)
Hg (0.6513, 0.2251, 0.8764)
Hg (0.7749, 0.6513, 0.4262)